(1)
PRhW4: calculated PXRD pattern (Cu Kα (λ = 1.5418 Å)), based on a cell relaxed with GGA-PBE.

Structure:
Lattice parameters (Å, degrees): 7.3952 7.3952 7.3952 90.00 90.00 90.00
Space group F-43m (No. 216)
Inequivalent atoms, fractional coordinates:
P (0.0000, 0.0000, 0.0000) (multiplicity 4)
Rh (0.2500, 0.2500, 0.2500) (multiplicity 4)
W (0.1250, 0.1250, 0.6250) (multiplicity 16)

Most intense lines, 2θ = 15–90°, low angle first:
2θ/deg	d/Å	I/Imax
20.8	4.270	611
40.5	2.230	1000
42.3	2.135	733
49.3	1.849	235
54.1	1.697	153
65.6	1.423	322
72.3	1.307	317
76.2	1.250	113
86.2	1.128	117
87.5	1.115	289

---

(2)
YPRh2: calculated PXRD pattern (Cu Kα (λ = 1.5418 Å)), based on a cell relaxed with GGA-PBE.

Structure:
Lattice parameters (Å, degrees): 4.0840 15.5268 8.6275 90.00 90.00 90.00
Space group Cmcm (No. 63)
Inequivalent atoms, fractional coordinates:
Y (0.0000, 0.0000, 0.0000) (multiplicity 4)
Y (0.0000, 0.1939, 0.2500) (multiplicity 4)
P (0.0000, 0.3576, 0.5170) (multiplicity 8)
Rh (0.0000, 0.1994, 0.5792) (multiplicity 8)
Rh (0.0000, 0.3877, 0.2500) (multiplicity 4)
Rh (0.0000, 0.4373, 0.7500) (multiplicity 4)

Most intense lines, 2θ = 15–90°, low angle first:
2θ/deg	d/Å	I/Imax
30.7	2.913	594
36.3	2.472	1000
37.9	2.376	129
38.7	2.325	607
40.7	2.219	144
41.9	2.157	147
44.4	2.042	419
47.3	1.924	336
66.8	1.400	230
79.1	1.210	142

---

(3)
Y2P3Rh5: calculated PXRD pattern (Cu Kα (λ = 1.5418 Å)), based on a cell relaxed with GGA-PBE.

Structure:
Lattice parameters (Å, degrees): 4.0278 24.3331 6.5238 90.00 90.00 90.00
Space group Cmc2_1 (No. 36)
Inequivalent atoms, fractional coordinates:
Y (0.0000, 0.0215, 0.0000) (multiplicity 4)
Y (0.0000, 0.3235, 0.0398) (multiplicity 4)
P (0.0000, 0.1107, 0.7451) (multiplicity 4)
P (0.0000, 0.2802, 0.5970) (multiplicity 4)
P (0.0000, 0.4521, 0.7933) (multiplicity 4)
Rh (0.0000, 0.0954, 0.3756) (multiplicity 4)
Rh (0.0000, 0.1964, 0.8900) (multiplicity 4)
Rh (0.0000, 0.2285, 0.2893) (multiplicity 4)
Rh (0.0000, 0.3782, 0.5500) (multiplicity 4)
Rh (0.0000, 0.4406, 0.1642) (multiplicity 4)

Most intense lines, 2θ = 15–90°, low angle first:
2θ/deg	d/Å	I/Imax
31.9	2.802	247
35.3	2.542	196
35.6	2.521	442
36.8	2.441	1000
37.2	2.419	684
39.5	2.280	298
40.2	2.245	243
44.2	2.048	396
45.0	2.014	493
77.8	1.227	188

---

(4)
Y2P7Rh12: calculated PXRD pattern (Cu Kα (λ = 1.5418 Å)), based on a cell relaxed with GGA-PBE.

Structure:
Lattice parameters (Å, degrees): 9.5959 9.5959 3.8764 90.00 90.00 120.00
Space group P-3 (No. 147)
Inequivalent atoms, fractional coordinates:
Y (0.3333, 0.6667, 0.2487) (multiplicity 2)
P (0.0000, 0.0000, 0.0000) (multiplicity 1)
P (0.1190, 0.4054, 0.7452) (multiplicity 6)
Rh (0.0676, 0.6181, 0.7494) (multiplicity 6)
Rh (0.1104, 0.8489, 0.2495) (multiplicity 6)

Most intense lines, 2θ = 15–90°, low angle first:
2θ/deg	d/Å	I/Imax
28.4	3.141	128
36.8	2.440	1000
45.8	1.981	115
46.9	1.938	164
47.7	1.907	125
50.3	1.813	187
69.1	1.359	66
71.2	1.324	118
80.4	1.195	99
85.6	1.135	92

---

(5)
Yb6P19Rh30: calculated PXRD pattern (Cu Kα (λ = 1.5418 Å)), based on a cell relaxed with GGA-PBE.

Structure:
Lattice parameters (Å, degrees): 15.6358 15.6358 3.8151 90.00 90.00 120.00
Space group P-3 (No. 147)
Inequivalent atoms, fractional coordinates:
Yb (0.0970, 0.7031, 0.2502) (multiplicity 6)
P (0.0000, 0.0000, 0.5000) (multiplicity 1)
P (0.0604, 0.4316, 0.2489) (multiplicity 6)
P (0.1163, 0.8586, 0.7534) (multiplicity 6)
P (0.2304, 0.6825, 0.7492) (multiplicity 6)
Rh (0.0222, 0.8739, 0.2523) (multiplicity 6)
Rh (0.0473, 0.2762, 0.2467) (multiplicity 6)
Rh (0.0738, 0.5385, 0.7497) (multiplicity 6)
Rh (0.1554, 0.4156, 0.7477) (multiplicity 6)
Rh (0.2231, 0.5717, 0.2481) (multiplicity 6)

Most intense lines, 2θ = 15–90°, low angle first:
2θ/deg	d/Å	I/Imax
28.7	3.107	152
35.5	2.532	89
37.3	2.409	1000
41.7	2.168	70
47.0	1.934	85
47.7	1.908	177
50.9	1.794	193
64.8	1.439	75
72.3	1.307	129
81.8	1.177	101

---

(6)
Zn2PRh: calculated PXRD pattern (Cu Kα (λ = 1.5418 Å)), based on a cell relaxed with GGA-PBE.

Structure:
Lattice parameters (Å, degrees): 3.2315 3.7718 5.1073 90.00 108.08 90.00
Space group Pm (No. 6)
Inequivalent atoms, fractional coordinates:
Zn (0.0000, 0.0000, 0.0000) (multiplicity 1)
Zn (0.3300, 0.5000, 0.6693) (multiplicity 1)
P (0.5905, 0.5000, 0.1804) (multiplicity 1)
Rh (0.7263, 0.0000, 0.4580) (multiplicity 1)

Most intense lines, 2θ = 15–90°, low angle first:
2θ/deg	d/Å	I/Imax
23.6	3.772	128
37.8	2.379	1000
39.3	2.294	246
39.5	2.280	238
44.4	2.041	572
46.3	1.960	132
46.5	1.951	123
48.3	1.886	257
57.0	1.616	153
77.8	1.227	128